Entry 1:
Computed powder XRD pattern
Compound: Li4MnFe2B4O12
Radiation: Cu Kα X-rays
Structure: the PBE+U geometry in Alexandria
Lines closer than 0.1° are merged.

Peak list (10 most intense, 2θ = 10–80°, in order of rising 2θ)
2θ = 13.7°, d 6.478, I 78
2θ = 20.5°, d 4.333, I 46
2θ = 20.9°, d 4.250, I 71
2θ = 21.9°, d 4.052, I 48
2θ = 28.1°, d 3.179, I 54
2θ = 35.5°, d 2.532, I 39
2θ = 36.9°, d 2.439, I 100
2θ = 46.7°, d 1.945, I 41
2θ = 51.4°, d 1.776, I 19
2θ = 53.9°, d 1.700, I 19

Atomic structure:
a = 5.264 Å, b = 8.665 Å, c = 10.972 Å
α = 90.00°, β = 117.25°, γ = 90.00°
Element x y z (fractional)
Li 0.000 0.110 0.000
Li 0.000 0.890 0.500
Li 0.364 0.293 0.206
Li 0.364 0.707 0.706
Li 0.871 0.367 0.224
Li 0.871 0.633 0.724
Li 0.895 0.193 0.462
Li 0.895 0.807 0.962
Mn 0.935 0.305 0.748
Mn 0.935 0.695 0.248
Fe 0.411 0.465 0.500
Fe 0.411 0.535 0.000
Fe 0.448 0.039 0.753
Fe 0.448 0.961 0.253
B 0.406 0.410 0.759
B 0.406 0.590 0.259
B 0.488 0.109 0.504
B 0.488 0.891 0.004
B 0.899 0.069 0.245
B 0.899 0.931 0.745
B 0.965 0.460 0.997
B 0.965 0.540 0.497
O 0.047 0.395 0.476
O 0.047 0.605 0.976
O 0.120 0.107 0.214
O 0.120 0.893 0.714
O 0.153 0.345 0.996
O 0.153 0.655 0.496
O 0.250 0.480 0.292
O 0.250 0.520 0.792
O 0.285 0.063 0.544
O 0.285 0.937 0.044
O 0.343 0.257 0.764
O 0.343 0.743 0.264
O 0.594 0.260 0.521
O 0.594 0.464 0.712
O 0.594 0.536 0.212
O 0.594 0.740 0.021
O 0.617 0.006 0.452
O 0.617 0.994 0.952
O 0.708 0.175 0.248
O 0.708 0.825 0.748
O 0.745 0.424 0.024
O 0.745 0.576 0.524
O 0.853 0.081 0.779
O 0.853 0.919 0.279

Entry 2:
Computed powder XRD pattern
Compound: Li2MnFeB2O6
Radiation: Cu Kα X-rays
Structure: the PBE+U geometry in Alexandria
Lines closer than 0.1° are merged.

Peak list (10 most intense, 2θ = 10–80°, in order of rising 2θ)
2θ = 20.5°, d 4.336, I 82
2θ = 20.7°, d 4.289, I 26
2θ = 22.1°, d 4.025, I 32
2θ = 22.6°, d 3.934, I 64
2θ = 33.5°, d 2.672, I 100
2θ = 34.0°, d 2.638, I 29
2θ = 34.4°, d 2.606, I 28
2θ = 34.8°, d 2.577, I 27
2θ = 40.0°, d 2.252, I 25
2θ = 40.9°, d 2.208, I 35

Atomic structure:
a = 5.161 Å, b = 6.004 Å, c = 9.138 Å
α = 76.04°, β = 89.16°, γ = 67.02°
Element x y z (fractional)
Li 0.247 0.180 0.312
Li 0.250 0.829 0.187
Li 0.750 0.171 0.813
Li 0.753 0.820 0.688
Mn 0.216 0.259 0.626
Mn 0.784 0.741 0.374
Fe 0.291 0.737 0.879
Fe 0.709 0.263 0.121
B 0.227 0.240 0.964
B 0.267 0.763 0.541
B 0.733 0.237 0.459
B 0.773 0.760 0.036
O 0.057 0.669 0.568
O 0.117 0.179 0.849
O 0.134 0.207 0.107
O 0.357 0.802 0.397
O 0.372 0.827 0.657
O 0.447 0.325 0.936
O 0.553 0.675 0.064
O 0.628 0.173 0.343
O 0.643 0.198 0.603
O 0.866 0.793 0.893
O 0.883 0.821 0.151
O 0.943 0.331 0.432

Entry 3:
Computed powder XRD pattern
Compound: Li2MnFeB2O6
Radiation: Cu Kα X-rays
Structure: the PBE+U geometry in Alexandria
Lines closer than 0.1° are merged.

Peak list (10 most intense, 2θ = 10–80°, in order of rising 2θ)
2θ = 20.5°, d 4.341, I 84
2θ = 20.7°, d 4.285, I 25
2θ = 22.1°, d 4.016, I 32
2θ = 22.6°, d 3.942, I 63
2θ = 33.6°, d 2.667, I 100
2θ = 34.0°, d 2.637, I 30
2θ = 34.3°, d 2.612, I 26
2θ = 34.8°, d 2.576, I 27
2θ = 40.1°, d 2.248, I 25
2θ = 40.8°, d 2.209, I 36

Atomic structure:
a = 5.226 Å, b = 5.999 Å, c = 8.247 Å
α = 103.08°, β = 90.81°, γ = 91.18°
Element x y z (fractional)
Li 0.093 0.294 0.472
Li 0.405 0.206 0.031
Li 0.595 0.794 0.969
Li 0.907 0.706 0.528
Mn 0.424 0.933 0.671
Mn 0.576 0.067 0.329
Fe 0.084 0.575 0.836
Fe 0.916 0.425 0.164
B 0.075 0.912 0.153
B 0.422 0.581 0.345
B 0.578 0.419 0.655
B 0.925 0.088 0.847
O 0.039 0.915 0.732
O 0.076 0.270 0.942
O 0.162 0.569 0.368
O 0.334 0.921 0.124
O 0.429 0.235 0.563
O 0.453 0.594 0.765
O 0.547 0.406 0.235
O 0.571 0.765 0.437
O 0.666 0.079 0.876
O 0.838 0.431 0.632
O 0.924 0.730 0.058
O 0.961 0.085 0.268

Entry 4:
Computed powder XRD pattern
Compound: Li2MnFeB2O6
Radiation: Cu Kα X-rays
Structure: the PBE+U geometry in Alexandria
Lines closer than 0.1° are merged.

Peak list (10 most intense, 2θ = 10–80°, in order of rising 2θ)
2θ = 19.5°, d 4.555, I 22
2θ = 19.7°, d 4.511, I 48
2θ = 21.6°, d 4.107, I 100
2θ = 26.1°, d 3.417, I 40
2θ = 26.8°, d 3.325, I 25
2θ = 34.0°, d 2.638, I 23
2θ = 34.3°, d 2.613, I 60
2θ = 35.8°, d 2.505, I 79
2θ = 40.3°, d 2.236, I 21
2θ = 41.0°, d 2.201, I 26

Atomic structure:
a = 5.220 Å, b = 5.233 Å, c = 20.050 Å
α = 90.92°, β = 90.91°, γ = 119.34°
Element x y z (fractional)
Li 0.000 0.000 0.000
Li 0.000 0.002 0.497
Li 0.659 0.689 0.621
Li 0.664 0.689 0.123
Li 0.681 0.671 0.874
Li 0.683 0.672 0.374
Li 0.987 0.007 0.747
Li 0.992 0.008 0.247
Mn 0.012 0.351 0.889
Mn 0.324 0.673 0.764
Mn 0.327 0.675 0.264
Mn 0.345 0.023 0.638
Fe 0.011 0.352 0.388
Fe 0.345 0.019 0.138
Fe 0.666 0.335 0.014
Fe 0.666 0.337 0.512
B 0.000 0.344 0.141
B 0.333 0.679 0.515
B 0.335 0.680 0.018
B 0.336 0.007 0.893
B 0.337 0.009 0.392
B 0.671 0.342 0.767
B 0.672 0.340 0.266
B 0.996 0.345 0.640
O 0.063 0.983 0.899
O 0.066 0.991 0.397
O 0.084 0.421 0.493
O 0.086 0.422 0.996
O 0.263 0.595 0.658
O 0.264 0.599 0.158
O 0.308 0.927 0.533
O 0.309 0.928 0.035
O 0.359 0.765 0.370
O 0.365 0.770 0.870
O 0.413 0.096 0.743
O 0.414 0.095 0.243
O 0.589 0.273 0.911
O 0.593 0.272 0.409
O 0.603 0.694 0.521
O 0.604 0.694 0.023
O 0.688 0.612 0.774
O 0.690 0.611 0.273
O 0.756 0.367 0.119
O 0.760 0.378 0.617
O 0.914 0.309 0.785
O 0.915 0.307 0.285
O 0.967 0.071 0.647
O 0.981 0.074 0.147

Entry 5:
Computed powder XRD pattern
Compound: Li4MnFe3B4O12
Radiation: Cu Kα X-rays
Structure: the PBE+U geometry in Alexandria
Lines closer than 0.1° are merged.

Peak list (10 most intense, 2θ = 10–80°, in order of rising 2θ)
2θ = 20.5°, d 4.341, I 84
2θ = 20.8°, d 4.277, I 25
2θ = 22.3°, d 3.984, I 31
2θ = 22.5°, d 3.947, I 62
2θ = 33.7°, d 2.658, I 100
2θ = 34.1°, d 2.627, I 32
2θ = 34.3°, d 2.615, I 24
2θ = 34.9°, d 2.571, I 27
2θ = 40.3°, d 2.236, I 24
2θ = 41.0°, d 2.204, I 52

Atomic structure:
a = 5.233 Å, b = 5.999 Å, c = 8.176 Å
α = 102.94°, β = 90.62°, γ = 91.24°
Element x y z (fractional)
Li 0.000 0.000 0.000
Li 0.187 0.591 0.943
Li 0.499 0.497 0.505
Li 0.689 0.088 0.447
Mn 0.517 0.230 0.143
Fe 0.008 0.723 0.637
Fe 0.180 0.864 0.305
Fe 0.680 0.363 0.805
B 0.018 0.379 0.320
B 0.170 0.207 0.629
B 0.518 0.878 0.815
B 0.671 0.712 0.128
O 0.022 0.025 0.532
O 0.048 0.379 0.743
O 0.133 0.206 0.204
O 0.169 0.561 0.414
O 0.257 0.864 0.837
O 0.429 0.221 0.606
O 0.523 0.532 0.030
O 0.549 0.882 0.243
O 0.641 0.706 0.702
O 0.665 0.060 0.910
O 0.759 0.369 0.348
O 0.931 0.725 0.105

Entry 6:
Computed powder XRD pattern
Compound: Li8Mn7FeB8O24
Radiation: Cu Kα X-rays
Structure: the PBE+U geometry in Alexandria
Lines closer than 0.1° are merged.

Peak list (10 most intense, 2θ = 10–80°, in order of rising 2θ)
2θ = 20.3°, d 4.370, I 82
2θ = 20.7°, d 4.296, I 25
2θ = 22.1°, d 4.024, I 38
2θ = 22.6°, d 3.930, I 64
2θ = 33.9°, d 2.641, I 31
2θ = 34.0°, d 2.633, I 100
2θ = 34.2°, d 2.625, I 32
2θ = 34.5°, d 2.596, I 26
2θ = 39.9°, d 2.260, I 29
2θ = 40.8°, d 2.213, I 38

Atomic structure:
a = 5.252 Å, b = 5.940 Å, c = 16.282 Å
α = 81.32°, β = 89.09°, γ = 89.09°
Element x y z (fractional)
Li 0.000 0.000 0.000
Li 0.000 0.494 0.501
Li 0.311 0.353 0.725
Li 0.313 0.869 0.220
Li 0.497 0.746 0.752
Li 0.501 0.251 0.248
Li 0.811 0.109 0.473
Li 0.813 0.609 0.974
Mn 0.330 0.959 0.401
Mn 0.331 0.460 0.904
Mn 0.480 0.644 0.573
Mn 0.830 0.204 0.653
Mn 0.830 0.718 0.150
Mn 0.975 0.889 0.822
Mn 0.982 0.402 0.322
Fe 0.478 0.149 0.071
B 0.328 0.140 0.565
B 0.332 0.646 0.064
B 0.482 0.964 0.910
B 0.483 0.464 0.409
B 0.830 0.390 0.815
B 0.830 0.897 0.313
B 0.980 0.221 0.157
B 0.981 0.709 0.660
O 0.070 0.162 0.551
O 0.074 0.667 0.050
O 0.239 0.686 0.675
O 0.240 0.197 0.169
O 0.331 0.597 0.455
O 0.335 0.101 0.957
O 0.363 0.846 0.854
O 0.369 0.347 0.351
O 0.443 0.256 0.623
O 0.448 0.777 0.117
O 0.479 0.006 0.519
O 0.483 0.499 0.022
O 0.571 0.918 0.299
O 0.572 0.412 0.802
O 0.740 0.940 0.924
O 0.741 0.443 0.423
O 0.830 0.844 0.706
O 0.835 0.356 0.204
O 0.858 0.104 0.101
O 0.866 0.590 0.604
O 0.944 0.013 0.371
O 0.948 0.520 0.868
O 0.978 0.245 0.773
O 0.983 0.764 0.267

Entry 7:
Computed powder XRD pattern
Compound: Li4MnFe3B4O12
Radiation: Cu Kα X-rays
Structure: the PBE+U geometry in Alexandria
Lines closer than 0.1° are merged.

Peak list (10 most intense, 2θ = 10–80°, in order of rising 2θ)
2θ = 20.5°, d 4.340, I 84
2θ = 20.8°, d 4.278, I 25
2θ = 22.3°, d 3.983, I 31
2θ = 22.5°, d 3.949, I 62
2θ = 33.7°, d 2.658, I 100
2θ = 34.1°, d 2.627, I 31
2θ = 34.3°, d 2.615, I 24
2θ = 34.9°, d 2.570, I 27
2θ = 41.0°, d 2.203, I 52
2θ = 62.3°, d 1.489, I 26

Atomic structure:
a = 5.232 Å, b = 6.158 Å, c = 8.992 Å
α = 73.20°, β = 88.57°, γ = 65.11°
Element x y z (fractional)
Li 0.000 0.000 0.000
Li 0.133 0.357 0.268
Li 0.496 0.007 0.502
Li 0.635 0.352 0.767
Mn 0.526 0.913 0.186
Fe 0.034 0.914 0.682
Fe 0.096 0.444 0.586
Fe 0.601 0.438 0.084
B 0.010 0.941 0.349
B 0.119 0.420 0.918
B 0.513 0.935 0.847
B 0.620 0.416 0.420
O 0.226 0.505 0.779
O 0.251 0.978 0.359
O 0.269 0.363 0.062
O 0.360 0.995 0.705
O 0.376 0.384 0.416
O 0.410 0.848 0.986
O 0.726 0.500 0.281
O 0.755 0.973 0.851
O 0.772 0.359 0.563
O 0.867 0.998 0.205
O 0.880 0.380 0.913
O 0.903 0.854 0.488

Entry 8:
Computed powder XRD pattern
Compound: Li2MnFeB2O6
Radiation: Cu Kα X-rays
Structure: the PBE+U geometry in Alexandria
Lines closer than 0.1° are merged.

Peak list (10 most intense, 2θ = 10–80°, in order of rising 2θ)
2θ = 20.4°, d 4.352, I 66
2θ = 20.7°, d 4.284, I 21
2θ = 22.2°, d 4.003, I 27
2θ = 22.6°, d 3.935, I 51
2θ = 34.1°, d 2.632, I 100
2θ = 34.3°, d 2.617, I 23
2θ = 34.7°, d 2.582, I 22
2θ = 40.1°, d 2.249, I 20
2θ = 40.9°, d 2.206, I 45
2θ = 61.7°, d 1.504, I 18

Atomic structure:
a = 5.170 Å, b = 6.125 Å, c = 8.004 Å
α = 79.50°, β = 88.56°, γ = 87.37°
Element x y z (fractional)
Li 0.000 0.000 0.000
Li 0.166 0.943 0.699
Li 0.493 0.493 0.496
Li 0.663 0.432 0.197
Mn 0.490 0.224 0.845
Mn 0.678 0.711 0.848
Fe 0.171 0.216 0.341
Fe 0.987 0.731 0.352
B 0.180 0.551 0.015
B 0.485 0.873 0.181
B 0.680 0.063 0.520
B 0.980 0.380 0.674
O 0.036 0.462 0.159
O 0.078 0.720 0.895
O 0.088 0.220 0.800
O 0.119 0.462 0.526
O 0.224 0.942 0.200
O 0.438 0.474 0.999
O 0.543 0.986 0.671
O 0.564 0.214 0.393
O 0.597 0.711 0.304
O 0.623 0.961 0.035
O 0.722 0.455 0.690
O 0.939 0.990 0.503